Starting from a structure optimized by DFT (GGA+U), the XRD peak list of MnFeSi2O6 was simulated for Cu Kα X-rays.
Intensities are scaled so that the largest is 100.

Atomic structure:
```
MnFeSi2O6
1.0
5.131 -4.636 0.000
5.131 4.636 0.000
-2.035 0.000 5.076
Mn Fe Si O
2 2 4 12
direct
0.101 0.899 0.750 Mn
0.899 0.101 0.250 Mn
0.262 0.738 0.250 Fe
0.738 0.262 0.750 Fe
0.207 0.380 0.793 Si
0.380 0.207 0.293 Si
0.620 0.793 0.707 Si
0.793 0.620 0.207 Si
0.030 0.215 0.667 O
0.141 0.617 0.860 O
0.215 0.030 0.167 O
0.337 0.356 0.091 O
0.356 0.337 0.591 O
0.383 0.859 0.640 O
0.617 0.141 0.360 O
0.644 0.663 0.409 O
0.663 0.644 0.909 O
0.785 0.970 0.833 O
0.859 0.383 0.140 O
0.970 0.785 0.333 O
```

Peak list (8 most intense, 2θ from 15° to 90°, in order of rising 2θ)
2θ (°)  d [Å]  Rel. int.
18.6  4.762  23.5
26.8  3.322  38.8
28.0  3.184  100.0
29.7  3.004  41.8
33.4  2.681  29.7
35.4  2.538  45.0
40.0  2.256  48.1
53.6  1.710  28.6